Entry 1:
Diffraction record for Ca2LaEr. The XRD peak list is simulated, not measured: it uses the PBE geometry in Alexandria and Cu Kα (weighted mean of Kα1 and Kα2).
Peak positions follow from Bragg's law for the DFT cell and can differ from measured ones.

The 10 most intense peaks (2θ from 10° to 90°), low angle first:
2theta, intensity
14.3, 55
28.1, 12
28.2, 23
28.7, 35
29.4, 100
33.8, 23
34.0, 45
36.9, 17
48.3, 17
58.0, 14

```
Ca2LaEr
1.0
3.719 0.000 0.000
-0.019 6.409 0.000
-1.829 -1.074 6.213
Ca La Er
2 1 1
Direct
0.248 0.245 0.496
0.752 0.755 0.504
0.000 0.500 0.000
0.500 0.000 0.000
```

=====

Entry 2:
Diffraction record for Rb3Pm3GaSe8. The XRD peak list is simulated, not measured: it uses the PBE geometry in Alexandria and Cu Kα (weighted mean of Kα1 and Kα2).
Peak positions follow from Bragg's law for the DFT cell and can differ from measured ones.

The 10 most intense peaks (2θ from 10° to 90°), low angle first:
2theta, intensity
10.7, 43
28.4, 100
35.4, 17
38.2, 32
42.9, 35
44.3, 11
47.5, 10
52.3, 17
58.8, 9
69.9, 14

```
Rb3Pm3GaSe8
1.0
7.301 -4.214 0.000
7.301 4.214 0.000
-4.871 0.000 8.234
Rb Pm Ga Se
3 3 1 8
Direct
0.000 0.000 0.000
0.000 0.500 0.000
0.500 0.000 0.000
0.000 0.500 0.500
0.500 0.000 0.500
0.500 0.500 0.500
0.000 0.000 0.500
0.215 0.215 0.686
0.216 0.754 0.687
0.246 0.784 0.313
0.266 0.266 0.299
0.734 0.734 0.701
0.754 0.216 0.687
0.784 0.246 0.313
0.785 0.785 0.314
```

=====

Entry 3:
Diffraction record for RbCo2B. The XRD peak list is simulated, not measured: it uses the PBE geometry in Alexandria and Cu Kα (weighted mean of Kα1 and Kα2).
Peak positions follow from Bragg's law for the DFT cell and can differ from measured ones.

The 10 most intense peaks (2θ from 10° to 90°), low angle first:
2theta, intensity
29.2, 25
29.3, 50
34.4, 100
34.6, 49
36.1, 49
51.9, 19
55.2, 25
55.4, 12
60.6, 15
60.9, 30

```
RbCo2B
1.0
6.111 0.000 0.000
0.000 6.111 0.000
0.000 0.000 8.580
Rb Co B
4 8 4
Direct
0.000 0.250 0.375
0.000 0.750 0.625
0.500 0.250 0.125
0.500 0.750 0.875
0.000 0.000 0.000
0.000 0.500 0.000
0.250 0.250 0.750
0.250 0.750 0.250
0.500 0.000 0.500
0.500 0.500 0.500
0.750 0.250 0.750
0.750 0.750 0.250
0.000 0.250 0.875
0.000 0.750 0.125
0.500 0.250 0.625
0.500 0.750 0.375
```

=====

Entry 4:
Diffraction record for KNa3Li3. The XRD peak list is simulated, not measured: it uses the PBE geometry in Alexandria and Cu Kα (weighted mean of Kα1 and Kα2).
Peak positions follow from Bragg's law for the DFT cell and can differ from measured ones.

The 10 most intense peaks (2θ from 10° to 90°), low angle first:
2theta, intensity
21.2, 42
23.7, 37
26.0, 100
40.2, 57
43.2, 20
48.6, 16
51.1, 13
60.5, 15
62.7, 12
69.1, 15

```
KNa3Li3
1.0
8.385 0.000 0.000
0.000 8.385 0.000
0.000 0.000 8.385
K Na Li
2 6 6
Direct
0.000 0.000 0.000
0.500 0.500 0.500
0.000 0.250 0.500
0.000 0.750 0.500
0.250 0.500 0.000
0.500 0.000 0.250
0.500 0.000 0.750
0.750 0.500 0.000
0.000 0.500 0.250
0.000 0.500 0.750
0.250 0.000 0.500
0.500 0.250 0.000
0.500 0.750 0.000
0.750 0.000 0.500
```

=====

Entry 5:
Diffraction record for CsSr3Tl. The XRD peak list is simulated, not measured: it uses the PBE geometry in Alexandria and Cu Kα (weighted mean of Kα1 and Kα2).
Peak positions follow from Bragg's law for the DFT cell and can differ from measured ones.

The 10 most intense peaks (2θ from 10° to 90°), low angle first:
2theta, intensity
13.3, 35
18.9, 75
23.1, 21
26.8, 100
33.0, 38
38.2, 78
47.3, 28
51.3, 22
62.4, 37
69.1, 27

```
CsSr3Tl
1.0
6.658 0.000 0.000
0.000 6.658 0.000
0.000 0.000 6.658
Cs Sr Tl
1 3 1
Direct
0.000 0.000 0.000
0.000 0.500 0.500
0.500 0.000 0.500
0.500 0.500 0.000
0.500 0.500 0.500
```

=====

Entry 6:
Diffraction record for Ac3TbPr. The XRD peak list is simulated, not measured: it uses the PBE geometry in Alexandria and Cu Kα (weighted mean of Kα1 and Kα2).
Peak positions follow from Bragg's law for the DFT cell and can differ from measured ones.

The 10 most intense peaks (2θ from 10° to 90°), low angle first:
2theta, intensity
28.3, 100
28.6, 32
32.8, 46
33.1, 22
47.0, 25
47.5, 16
55.7, 21
55.9, 10
56.1, 10
56.2, 9

```
Ac3TbPr
1.0
9.985 -1.937 0.000
9.985 1.937 0.000
-2.808 0.000 10.467
Ac Tb Pr
6 2 2
Direct
0.002 0.002 0.239
0.202 0.202 0.847
0.397 0.397 0.455
0.603 0.603 0.545
0.798 0.798 0.153
0.998 0.998 0.761
0.201 0.201 0.352
0.799 0.799 0.648
0.396 0.396 0.945
0.604 0.604 0.055
```

=====

Entry 7:
Diffraction record for Ta4WCl. The XRD peak list is simulated, not measured: it uses the PBE geometry in Alexandria and Cu Kα (weighted mean of Kα1 and Kα2).
Peak positions follow from Bragg's law for the DFT cell and can differ from measured ones.

The 10 most intense peaks (2θ from 10° to 90°), low angle first:
2theta, intensity
20.0, 34
32.9, 14
38.8, 100
40.6, 58
47.2, 13
51.7, 8
62.6, 33
68.9, 30
82.0, 12
83.2, 22

```
Ta4WCl
1.0
0.000 3.853 3.853
3.853 0.000 3.853
3.853 3.853 0.000
Ta W Cl
4 1 1
Direct
0.124 0.124 0.124
0.124 0.124 0.629
0.124 0.629 0.124
0.629 0.124 0.124
0.750 0.750 0.750
0.500 0.500 0.500
```

=====

Entry 8:
Diffraction record for V7Sn. The XRD peak list is simulated, not measured: it uses the PBE geometry in Alexandria and Cu Kα (weighted mean of Kα1 and Kα2).
Peak positions follow from Bragg's law for the DFT cell and can differ from measured ones.

The 10 most intense peaks (2θ from 10° to 90°), low angle first:
2theta, intensity
21.8, 11
29.9, 6
32.7, 10
41.5, 100
41.9, 51
59.6, 7
60.7, 16
62.2, 4
75.5, 14
76.2, 30

```
V7Sn
1.0
4.316 0.000 0.000
0.000 4.316 0.000
0.000 0.000 12.407
V Sn
14 2
Direct
0.000 0.000 0.000
0.000 0.000 0.248
0.000 0.000 0.752
0.000 0.500 0.138
0.000 0.500 0.362
0.000 0.500 0.638
0.000 0.500 0.862
0.500 0.000 0.138
0.500 0.000 0.362
0.500 0.000 0.638
0.500 0.000 0.862
0.500 0.500 0.252
0.500 0.500 0.500
0.500 0.500 0.748
0.000 0.000 0.500
0.500 0.500 0.000
```